Entry 1:
Starting from a cell relaxed with GGA-PBE, the powder X-ray diffraction pattern of Mg2Sn was computed for a wavelength of 1.5418 Å.
Kinematic intensities with the Lorentz-polarization factor, no thermal factor.

Crystal structure
Cell lengths 11.615, 3.330, 7.798 Å; angles 90.00, 109.00, 90.00 degrees
Positions (direct):
1 Mg 0.030 0.000 0.306
2 Mg 0.138 0.500 0.030
3 Mg 0.362 0.000 0.970
4 Mg 0.470 0.500 0.694
5 Mg 0.530 0.500 0.306
6 Mg 0.638 0.000 0.030
7 Mg 0.862 0.500 0.970
8 Mg 0.970 0.000 0.694
9 Sn 0.191 0.500 0.649
10 Sn 0.309 0.000 0.351
11 Sn 0.691 0.000 0.649
12 Sn 0.809 0.500 0.351

Most intense lines, 15° ≤ 2θ ≤ 90°, in order of rising 2θ:
2θ = 16.14°, intensity 47.8; 2θ = 23.13°, intensity 37.5; 2θ = 24.31°, intensity 28.6; 2θ = 29.46°, intensity 41.8; 2θ = 31.62°, intensity 34.0; 2θ = 33.76°, intensity 49.6; 2θ = 35.45°, intensity 58.9; 2θ = 35.81°, intensity 20.3; 2θ = 36.50°, intensity 100.0; 2θ = 38.54°, intensity 26.7; 2θ = 39.07°, intensity 21.8; 2θ = 58.58°, intensity 21.0

=====

Entry 2:
Starting from a cell relaxed with GGA-PBE, the powder X-ray diffraction pattern of Tb2Mn3Si5 was computed for a wavelength of 1.5418 Å.
Kinematic intensities with the Lorentz-polarization factor, no thermal factor.

Crystal structure
Cell lengths 10.574, 10.574, 5.445 Å; angles 90.00, 90.00, 90.00 degrees
Positions (direct):
1 Tb 0.075 0.236 0.000
2 Tb 0.236 0.925 0.000
3 Tb 0.264 0.425 0.500
4 Tb 0.425 0.736 0.500
5 Tb 0.575 0.264 0.500
6 Tb 0.736 0.575 0.500
7 Tb 0.764 0.075 0.000
8 Tb 0.925 0.764 0.000
9 Mn 0.000 0.500 0.250
10 Mn 0.000 0.500 0.750
11 Mn 0.121 0.854 0.500
12 Mn 0.146 0.121 0.500
13 Mn 0.354 0.621 0.000
14 Mn 0.379 0.354 0.000
15 Mn 0.500 0.000 0.250
16 Mn 0.500 0.000 0.750
17 Mn 0.621 0.646 0.000
18 Mn 0.646 0.379 0.000
19 Mn 0.854 0.879 0.500
20 Mn 0.879 0.146 0.500
21 Si 0.000 0.000 0.262
22 Si 0.000 0.000 0.738
23 Si 0.023 0.315 0.500
24 Si 0.175 0.675 0.250
25 Si 0.175 0.675 0.750
26 Si 0.185 0.477 0.000
27 Si 0.315 0.977 0.500
28 Si 0.325 0.175 0.250
29 Si 0.325 0.175 0.750
30 Si 0.477 0.815 0.000
31 Si 0.500 0.500 0.238
32 Si 0.500 0.500 0.762
33 Si 0.523 0.185 0.000
34 Si 0.675 0.825 0.250
35 Si 0.675 0.825 0.750
36 Si 0.685 0.023 0.500
37 Si 0.815 0.523 0.000
38 Si 0.825 0.325 0.250
39 Si 0.825 0.325 0.750
40 Si 0.977 0.685 0.500

Most intense lines, 15° ≤ 2θ ≤ 90°, in order of rising 2θ:
2θ = 18.77°, intensity 18.3; 2θ = 24.94°, intensity 28.4; 2θ = 31.40°, intensity 100.0; 2θ = 32.90°, intensity 24.5; 2θ = 35.00°, intensity 36.4; 2θ = 38.10°, intensity 56.6; 2θ = 38.82°, intensity 45.1; 2θ = 41.01°, intensity 47.5; 2θ = 49.34°, intensity 16.1; 2θ = 53.24°, intensity 20.9; 2θ = 57.80°, intensity 17.7; 2θ = 62.77°, intensity 27.4

=====

Entry 3:
Starting from a cell relaxed with GGA-PBE, the powder X-ray diffraction pattern of Li5Cl3O was computed for a wavelength of 1.5418 Å.
Kinematic intensities with the Lorentz-polarization factor, no thermal factor.

Crystal structure
Cell lengths 7.728, 7.728, 7.728 Å; angles 125.77, 125.77, 80.27 degrees
Positions (direct):
1 Li 0.000 0.000 0.000
2 Li 0.017 0.517 0.215
3 Li 0.198 0.983 0.500
4 Li 0.302 0.802 0.785
5 Li 0.483 0.698 0.500
6 Li 0.500 0.500 0.000
7 Li 0.517 0.302 0.500
8 Li 0.698 0.198 0.215
9 Li 0.802 0.017 0.500
10 Li 0.983 0.483 0.785
11 Cl 0.209 0.291 0.500
12 Cl 0.250 0.250 0.000
13 Cl 0.291 0.791 0.083
14 Cl 0.709 0.209 0.917
15 Cl 0.750 0.750 0.000
16 Cl 0.791 0.709 0.500
17 O 0.250 0.750 0.500
18 O 0.750 0.250 0.500

Most intense lines, 15° ≤ 2θ ≤ 90°, in order of rising 2θ:
2θ = 29.34°, intensity 12.0; 2θ = 29.53°, intensity 100.0; 2θ = 30.26°, intensity 27.0; 2θ = 36.06°, intensity 29.5; 2θ = 36.52°, intensity 22.4; 2θ = 40.49°, intensity 7.8; 2θ = 47.77°, intensity 22.6; 2θ = 53.30°, intensity 16.2; 2θ = 54.25°, intensity 7.5; 2θ = 58.92°, intensity 8.3; 2θ = 60.86°, intensity 10.0; 2θ = 61.28°, intensity 9.0

=====

Entry 4:
Starting from a cell relaxed with GGA-PBE, the powder X-ray diffraction pattern of KPrS2O8 was computed for a wavelength of 1.5418 Å.
Kinematic intensities with the Lorentz-polarization factor, no thermal factor.

Crystal structure
Cell lengths 5.502, 7.063, 8.632 Å; angles 85.83, 88.63, 88.39 degrees
Positions (direct):
1 K 0.247 0.153 0.313
2 K 0.753 0.847 0.687
3 Pr 0.188 0.319 0.794
4 Pr 0.812 0.681 0.206
5 S 0.257 0.673 0.430
6 S 0.279 0.799 0.953
7 S 0.721 0.201 0.047
8 S 0.743 0.327 0.570
9 O 0.038 0.806 0.423
10 O 0.130 0.637 0.910
11 O 0.160 0.872 0.095
12 O 0.223 0.538 0.307
13 O 0.272 0.577 0.587
14 O 0.288 0.949 0.825
15 O 0.468 0.272 0.012
16 O 0.482 0.784 0.394
17 O 0.518 0.216 0.606
18 O 0.532 0.728 0.988
19 O 0.712 0.051 0.175
20 O 0.728 0.423 0.413
21 O 0.777 0.462 0.693
22 O 0.840 0.128 0.905
23 O 0.870 0.363 0.090
24 O 0.962 0.194 0.577

Most intense lines, 15° ≤ 2θ ≤ 90°, in order of rising 2θ:
2θ = 15.67°, intensity 74.1; 2θ = 16.83°, intensity 32.1; 2θ = 18.96°, intensity 26.5; 2θ = 25.29°, intensity 41.6; 2θ = 26.61°, intensity 100.0; 2θ = 28.10°, intensity 69.4; 2θ = 29.83°, intensity 41.5; 2θ = 29.97°, intensity 34.6; 2θ = 32.30°, intensity 32.9; 2θ = 32.57°, intensity 36.8; 2θ = 36.26°, intensity 24.0; 2θ = 43.04°, intensity 38.8

=====

Please write out number 3 again, unchanged.
Starting from a cell relaxed with GGA-PBE, the powder X-ray diffraction pattern of Li5Cl3O was computed for a wavelength of 1.5418 Å.
Kinematic intensities with the Lorentz-polarization factor, no thermal factor.

Crystal structure
Cell lengths 7.728, 7.728, 7.728 Å; angles 125.77, 125.77, 80.27 degrees
Positions (direct):
1 Li 0.000 0.000 0.000
2 Li 0.017 0.517 0.215
3 Li 0.198 0.983 0.500
4 Li 0.302 0.802 0.785
5 Li 0.483 0.698 0.500
6 Li 0.500 0.500 0.000
7 Li 0.517 0.302 0.500
8 Li 0.698 0.198 0.215
9 Li 0.802 0.017 0.500
10 Li 0.983 0.483 0.785
11 Cl 0.209 0.291 0.500
12 Cl 0.250 0.250 0.000
13 Cl 0.291 0.791 0.083
14 Cl 0.709 0.209 0.917
15 Cl 0.750 0.750 0.000
16 Cl 0.791 0.709 0.500
17 O 0.250 0.750 0.500
18 O 0.750 0.250 0.500

Most intense lines, 15° ≤ 2θ ≤ 90°, in order of rising 2θ:
2θ = 29.34°, intensity 12.0; 2θ = 29.53°, intensity 100.0; 2θ = 30.26°, intensity 27.0; 2θ = 36.06°, intensity 29.5; 2θ = 36.52°, intensity 22.4; 2θ = 40.49°, intensity 7.8; 2θ = 47.77°, intensity 22.6; 2θ = 53.30°, intensity 16.2; 2θ = 54.25°, intensity 7.5; 2θ = 58.92°, intensity 8.3; 2θ = 60.86°, intensity 10.0; 2θ = 61.28°, intensity 9.0